For Rb2Sn2Hg3S8, the GGA-PBE geometry in Alexandria gives the theoretical powder XRD pattern in this record (λ = 1.5418 Å (Cu Kα)).

a b c (Å): 10.2949 6.7762 13.7975
angles (deg): 90.00 96.65 90.00
Space group P2_1/c (No. 14)
Inequivalent atoms, fractional coordinates:
Rb 0.2251 0.1587 0.3160 [4 per cell]
Sn 0.2850 0.6932 0.0803 [4 per cell]
Hg 0.0000 0.0000 0.0000 [2 per cell]
Hg 0.4984 0.2137 0.1198 [4 per cell]
S 0.0804 0.6893 0.6388 [4 per cell]
S 0.2698 0.6949 0.4120 [4 per cell]
S 0.2717 0.1646 0.5832 [4 per cell]
S 0.4680 0.6691 0.6787 [4 per cell]

Top 10 peaks for 2θ = 10–90°, by intensity:
2θ = 26.45°, I 1000, hkl 1 0 -4; 2θ = 21.01°, I 866, hkl 1 1 2; 2θ = 37.36°, I 525, hkl 0 2 4; 2θ = 22.14°, I 464, hkl 2 1 -1; 2θ = 27.74°, I 445, hkl 1 2 0; 2θ = 24.33°, I 404, hkl 2 1 -2; 2θ = 35.11°, I 402, hkl 4 0 0; 2θ = 30.88°, I 349, hkl 3 1 -2; 2θ = 25.86°, I 309, hkl 1 1 3; 2θ = 49.21°, I 255, hkl 5 0 -4

For Li3NpPa3N8, the GGA-PBE geometry in Alexandria gives the theoretical powder XRD pattern in this record (λ = 1.5418 Å (Cu Kα)).

a b c (Å): 7.0836 7.0836 14.8069
angles (deg): 90.00 90.00 120.00
Space group R-3m (No. 166, hexagonal axes)
Inequivalent atoms, fractional coordinates:
Li 0.0000 0.5000 0.0000 [9 per cell]
Np 0.0000 0.0000 0.5000 [3 per cell]
Pa 0.0000 0.5000 0.5000 [9 per cell]
N 0.0000 0.0000 0.2348 [6 per cell]
N 0.0174 0.5087 0.2331 [18 per cell]

Top 10 peaks for 2θ = 10–90°, by intensity:
2θ = 17.97°, I 1000, hkl 0 0 3; 2θ = 29.75°, I 807, hkl 0 2 1; 2θ = 31.57°, I 592, hkl 2 0 2; 2θ = 38.10°, I 566, hkl 0 2 4; 2θ = 55.10°, I 325, hkl 2 2 3; 2θ = 42.43°, I 290, hkl 2 0 5; 2θ = 51.61°, I 238, hkl 2 2 0; 2θ = 52.55°, I 200, hkl 0 2 7; 2θ = 64.80°, I 178, hkl 2 2 6; 2θ = 58.22°, I 157, hkl 2 0 8

For Ba2Sb3Pt4Rh, the GGA-PBE geometry in Alexandria gives the theoretical powder XRD pattern in this record (λ = 1.5418 Å (Cu Kα)).

a b c (Å): 4.7296 4.7296 10.6428
angles (deg): 90.00 90.00 90.00
Space group P-4m2 (No. 115)
Inequivalent atoms, fractional coordinates:
Ba 0.0000 0.5000 0.2452 [2 per cell]
Sb 0.0000 0.0000 0.0000 [1 per cell]
Sb 0.0000 0.5000 0.6262 [2 per cell]
Pt 0.0000 0.0000 0.5000 [1 per cell]
Pt 0.0000 0.5000 0.8801 [2 per cell]
Pt 0.5000 0.5000 0.5000 [1 per cell]
Rh 0.5000 0.5000 0.0000 [1 per cell]

Top 10 peaks for 2θ = 10–90°, by intensity:
2θ = 31.57°, I 1000, hkl 1 1 2; 2θ = 38.05°, I 542, hkl 2 0 0; 2θ = 43.46°, I 315, hkl 1 1 4; 2θ = 50.22°, I 228, hkl 2 1 3; 2θ = 64.73°, I 201, hkl 3 1 2; 2θ = 54.91°, I 187, hkl 2 2 0; 2θ = 72.50°, I 138, hkl 3 1 4; 2θ = 16.66°, I 126, hkl 0 0 2; 2θ = 58.94°, I 117, hkl 1 1 6; 2θ = 46.80°, I 117, hkl 1 0 5

For Tl4Ga2Au5, the GGA-PBE geometry in Alexandria gives the theoretical powder XRD pattern in this record (λ = 1.5418 Å (Cu Kα)).

a b c (Å): 8.9498 21.7200 5.4472
angles (deg): 90.00 90.00 90.00
Space group Ibam (No. 72)
Inequivalent atoms, fractional coordinates:
Tl 0.0945 0.1286 0.0000 [8 per cell]
Tl 0.2004 0.4577 0.0000 [8 per cell]
Ga 0.0000 0.2941 0.2500 [8 per cell]
Au 0.0000 0.0000 0.2500 [4 per cell]
Au 0.0881 0.3977 0.5000 [8 per cell]
Au 0.2367 0.2538 0.0000 [8 per cell]

Top 10 peaks for 2θ = 10–90°, by intensity:
2θ = 31.31°, I 1000, hkl 1 6 1; 2θ = 35.28°, I 956, hkl 3 2 1; 2θ = 42.26°, I 872, hkl 2 4 2; 2θ = 32.88°, I 541, hkl 0 0 2; 2θ = 43.76°, I 452, hkl 4 4 0; 2θ = 30.49°, I 435, hkl 1 7 0; 2θ = 25.80°, I 433, hkl 2 4 0; 2θ = 46.47°, I 357, hkl 2 10 0; 2θ = 36.65°, I 284, hkl 1 3 2; 2θ = 41.49°, I 279, hkl 0 6 2

For Tb12Ni5Hg, the GGA-PBE geometry in Alexandria gives the theoretical powder XRD pattern in this record (λ = 1.5418 Å (Cu Kα)).

a b c (Å): 9.3756 9.5911 9.8734
angles (deg): 90.00 90.00 90.00
Space group Immm (No. 71)
Inequivalent atoms, fractional coordinates:
Tb 0.0000 0.1892 0.2163 [8 per cell]
Tb 0.1952 0.5000 0.1761 [8 per cell]
Tb 0.2074 0.3193 0.5000 [8 per cell]
Ni 0.0000 0.0000 0.0000 [2 per cell]
Ni 0.0000 0.3623 0.0000 [4 per cell]
Ni 0.0000 0.5000 0.3759 [4 per cell]
Hg 0.0000 0.0000 0.5000 [2 per cell]

Top 10 peaks for 2θ = 10–90°, by intensity:
2θ = 32.28°, I 1000, hkl 2 2 2; 2θ = 34.77°, I 683, hkl 1 3 2; 2θ = 34.59°, I 658, hkl 2 1 3; 2θ = 30.07°, I 388, hkl 3 1 0; 2θ = 35.47°, I 354, hkl 3 2 1; 2θ = 60.21°, I 344, hkl 5 3 2; 2θ = 29.36°, I 332, hkl 0 3 1; 2θ = 59.13°, I 280, hkl 6 0 0; 2θ = 28.73°, I 249, hkl 1 0 3; 2θ = 35.18°, I 236, hkl 2 3 1

For Ca3YTl4, the GGA-PBE geometry in Alexandria gives the theoretical powder XRD pattern in this record (λ = 1.5418 Å (Cu Kα)).

a b c (Å): 3.8376 3.8376 15.6836
angles (deg): 90.00 90.00 90.00
Space group P4/mmm (No. 123)
Inequivalent atoms, fractional coordinates:
Ca 0.0000 0.0000 0.0000 [1 per cell]
Ca 0.0000 0.0000 0.2521 [2 per cell]
Y 0.0000 0.0000 0.5000 [1 per cell]
Tl 0.5000 0.5000 0.1268 [2 per cell]
Tl 0.5000 0.5000 0.3783 [2 per cell]

Top 10 peaks for 2θ = 10–90°, by intensity:
2θ = 32.65°, I 1000, hkl 1 0 4; 2θ = 33.01°, I 488, hkl 1 1 0; 2θ = 23.18°, I 374, hkl 1 0 0; 2θ = 58.73°, I 373, hkl 2 1 4; 2θ = 22.68°, I 196, hkl 0 0 4; 2θ = 58.04°, I 191, hkl 1 1 8; 2θ = 40.42°, I 186, hkl 1 1 4; 2θ = 47.38°, I 178, hkl 2 0 0; 2θ = 68.41°, I 116, hkl 2 0 8; 2θ = 46.31°, I 94, hkl 0 0 8

For Li5O2F, the GGA-PBE geometry in Alexandria gives the theoretical powder XRD pattern in this record (λ = 1.5418 Å (Cu Kα)).

a b c (Å): 3.0431 4.8952 10.1091
angles (deg): 90.00 90.00 90.00
Space group Immm (No. 71)
Inequivalent atoms, fractional coordinates:
Li 0.0000 0.0000 0.0000 [2 per cell]
Li 0.0000 0.2460 0.3350 [8 per cell]
O 0.0000 0.0000 0.1808 [4 per cell]
F 0.0000 0.5000 0.0000 [2 per cell]

Top 10 peaks for 2θ = 10–90°, by intensity:
2θ = 32.25°, I 1000, hkl 0 1 3; 2θ = 39.15°, I 650, hkl 1 1 2; 2θ = 48.58°, I 593, hkl 1 2 1; 2θ = 30.68°, I 443, hkl 1 0 1; 2θ = 54.47°, I 351, hkl 0 0 6; 2θ = 67.51°, I 288, hkl 1 2 5; 2θ = 36.72°, I 217, hkl 0 2 0; 2θ = 60.88°, I 166, hkl 2 0 0; 2θ = 34.71°, I 135, hkl 1 1 0; 2θ = 55.35°, I 119, hkl 1 2 3

For AcSm7Y3, the GGA-PBE geometry in Alexandria gives the theoretical powder XRD pattern in this record (λ = 1.5418 Å (Cu Kα)).

a b c (Å): 6.6004 7.7587 7.7757
angles (deg): 81.02 86.06 86.17
Space group P-1 (No. 2)
Inequivalent atoms, fractional coordinates:
Ac 0.0000 0.0000 0.0000 [1 per cell]
Sm 0.2416 0.0753 0.4259 [2 per cell]
Sm 0.2417 0.4268 0.0757 [2 per cell]
Sm 0.2984 0.7346 0.7344 [2 per cell]
Sm 0.5000 0.0000 0.0000 [1 per cell]
Y 0.0000 0.5000 0.5000 [1 per cell]
Y 0.4992 0.3290 0.6708 [2 per cell]

Top 10 peaks for 2θ = 10–90°, by intensity:
2θ = 30.41°, I 1000, hkl 0 2 2; 2θ = 29.94°, I 862, hkl 2 1 1; 2θ = 31.12°, I 776, hkl 1 1 -2; 2θ = 32.36°, I 641, hkl -2 1 1; 2θ = 27.61°, I 343, hkl 0 2 -1; 2θ = 36.97°, I 287, hkl 1 0 3; 2θ = 37.08°, I 272, hkl 1 3 0; 2θ = 23.23°, I 251, hkl 0 2 0; 2θ = 38.57°, I 208, hkl 1 0 -3; 2θ = 52.15°, I 193, hkl 2 3 3